Calculated PXRD pattern
Compound: Li2TlO3
Radiation: Cu Kα, 1.54184 Å
Structure: the PBE geometry in Alexandria

Main lines, sorted by position (2θ = 10–80°):
(hkl)  2θ/deg  I (rel.)
0 0 2  19.34  69
0 1 1  22.19  100
1 0 1  29.13  52
1 1 0  34.14  23
0 1 3  35.61  21
1 1 2  39.54  47
1 0 3  40.50  57
1 2 1  50.68  23
1 1 4  53.00  20
1 2 3  58.62  25

Cell and atoms:
```
12
Lattice="3.252 0.000 0.000 0.000 4.452 0.000 0.000 0.000 9.178" Properties=species:S:1:pos:R:3 pbc="T T T"
Li 0.000 0.000 1.509
Li 0.000 0.000 7.669
Li 1.626 2.226 3.080
Li 1.626 2.226 6.098
Tl 0.000 0.000 4.589
Tl 1.626 2.226 0.000
O 0.000 2.226 1.557
O 0.000 2.226 4.589
O 0.000 2.226 7.621
O 1.626 0.000 0.000
O 1.626 0.000 3.032
O 1.626 0.000 6.146
```